Diffraction record for Mg14CoSiO16. The powder X-ray diffraction pattern is simulated, not measured: it uses a DFT-relaxed cell (GGA+U, the Materials Project) and λ = 1.5418 Å (Cu Kα).
Lines closer than 0.1° are merged.

Principal peaks in the range 2θ = 15–90°, by intensity:
| Position (°2θ) | I/Imax |
| --- | --- |
| 42.2 | 100 |
| 61.5 | 54 |
| 42.5 | 47 |
| 61.3 | 28 |
| 77.4 | 25 |
| 36.4 | 22 |
| 73.4 | 9 |
| 73.8 | 5 |
| 23.3 | 3 |
| 20.8 | 2 |

Atomic structure:
a b c (Å): 4.276 8.507 8.564
angles (deg): 90.00 90.00 90.00
Atoms (fractional coordinates):
Mg1 0.000 0.000 0.000
Mg2 0.000 0.244 0.250
Mg3 0.000 0.244 0.750
Mg4 0.000 0.500 0.000
Mg5 0.000 0.756 0.250
Mg6 0.000 0.756 0.750
Mg7 0.500 0.000 0.254
Mg8 0.500 0.000 0.746
Mg9 0.500 0.243 0.500
Mg10 0.500 0.248 0.000
Mg11 0.500 0.500 0.250
Mg12 0.500 0.500 0.750
Mg13 0.500 0.752 0.000
Mg14 0.500 0.757 0.500
Co1 0.000 0.000 0.500
Si1 0.000 0.500 0.500
O1 0.000 0.000 0.238
O2 0.000 0.000 0.762
O3 0.000 0.255 0.000
O4 0.000 0.282 0.500
O5 0.000 0.500 0.259
O6 0.000 0.500 0.741
O7 0.000 0.718 0.500
O8 0.000 0.745 0.000
O9 0.500 0.000 0.000
O10 0.500 0.000 0.500
O11 0.500 0.251 0.252
O12 0.500 0.251 0.748
O13 0.500 0.500 0.000
O14 0.500 0.500 0.500
O15 0.500 0.749 0.252
O16 0.500 0.749 0.748


Diffraction record for Mg6CoSiO8. The powder X-ray diffraction pattern is simulated, not measured: it uses a DFT-relaxed cell (GGA+U, the Materials Project) and λ = 1.5418 Å (Cu Kα).
Lines closer than 0.1° are merged.

Principal peaks in the range 2θ = 15–90°, by intensity:
| Position (°2θ) | I/Imax |
| --- | --- |
| 42.4 | 100 |
| 61.1 | 58 |
| 41.8 | 52 |
| 36.3 | 29 |
| 61.5 | 28 |
| 77.1 | 26 |
| 73.5 | 11 |
| 23.3 | 7 |
| 72.8 | 6 |
| 20.8 | 5 |

Atomic structure:
a b c (Å): 4.267 4.267 8.635
angles (deg): 90.00 90.00 90.00
Atoms (fractional coordinates):
Mg1 0.000 0.000 0.000
Mg2 0.000 0.500 0.249
Mg3 0.000 0.500 0.751
Mg4 0.500 0.000 0.249
Mg5 0.500 0.000 0.751
Mg6 0.500 0.500 0.000
Co1 0.000 0.000 0.500
Si1 0.500 0.500 0.500
O1 0.000 0.000 0.240
O2 0.000 0.000 0.760
O3 0.000 0.500 0.000
O4 0.000 0.500 0.500
O5 0.500 0.000 0.000
O6 0.500 0.000 0.500
O7 0.500 0.500 0.252
O8 0.500 0.500 0.748


Diffraction record for Mg3Co2Si4O14. The powder X-ray diffraction pattern is simulated, not measured: it uses a DFT-relaxed cell (GGA+U, the Materials Project) and λ = 1.5418 Å (Cu Kα).
Lines closer than 0.1° are merged.

Principal peaks in the range 2θ = 15–90°, by intensity:
| Position (°2θ) | I/Imax |
| --- | --- |
| 39.6 | 100 |
| 32.7 | 84 |
| 29.1 | 82 |
| 28.9 | 71 |
| 19.6 | 70 |
| 29.7 | 69 |
| 32.6 | 68 |
| 31.8 | 62 |
| 40.9 | 46 |
| 26.9 | 31 |

Atomic structure:
a b c (Å): 9.293 9.293 9.742
angles (deg): 121.22 121.22 47.85
Atoms (fractional coordinates):
Mg1 0.114 0.886 0.750
Mg2 0.244 0.415 0.607
Mg3 0.415 0.244 0.107
Mg4 0.585 0.756 0.893
Mg5 0.756 0.585 0.393
Mg6 0.886 0.114 0.250
Co1 0.288 0.712 0.250
Co2 0.500 0.500 0.000
Co3 0.500 0.500 0.500
Co4 0.712 0.288 0.750
Si1 0.025 0.738 0.896
Si2 0.042 0.589 0.293
Si3 0.262 0.975 0.604
Si4 0.411 0.958 0.207
Si5 0.589 0.042 0.793
Si6 0.738 0.025 0.396
Si7 0.958 0.411 0.707
Si8 0.975 0.262 0.104
O1 0.014 0.561 0.882
O2 0.019 0.587 0.445
O3 0.047 0.864 0.091
O4 0.130 0.183 0.735
O5 0.136 0.953 0.409
O6 0.183 0.130 0.235
O7 0.197 0.661 0.822
O8 0.265 0.512 0.301
O9 0.339 0.803 0.678
O10 0.391 0.473 0.085
O11 0.413 0.981 0.055
O12 0.439 0.986 0.618
O13 0.473 0.391 0.585
O14 0.488 0.735 0.199
O15 0.512 0.265 0.801
O16 0.527 0.609 0.415
O17 0.561 0.014 0.382
O18 0.587 0.019 0.945
O19 0.609 0.527 0.915
O20 0.661 0.197 0.322
O21 0.735 0.488 0.699
O22 0.803 0.339 0.178
O23 0.817 0.870 0.765
O24 0.864 0.047 0.591
O25 0.870 0.817 0.265
O26 0.953 0.136 0.909
O27 0.981 0.413 0.555
O28 0.986 0.439 0.118


Diffraction record for MgCoSi2O6. The powder X-ray diffraction pattern is simulated, not measured: it uses a DFT-relaxed cell (GGA+U, the Materials Project) and λ = 1.5418 Å (Cu Kα).
Lines closer than 0.1° are merged.

Principal peaks in the range 2θ = 15–90°, by intensity:
| Position (°2θ) | I/Imax |
| --- | --- |
| 29.2 | 100 |
| 30.5 | 83 |
| 34.2 | 65 |
| 55.8 | 48 |
| 36.1 | 39 |
| 35.8 | 38 |
| 41.5 | 38 |
| 66.5 | 32 |
| 43.8 | 19 |
| 41.3 | 19 |

Atomic structure:
a b c (Å): 6.696 6.696 5.299
angles (deg): 103.55 103.55 85.80
Atoms (fractional coordinates):
Mg1 0.245 0.755 0.750
Mg2 0.755 0.245 0.250
Co1 0.101 0.899 0.250
Co2 0.899 0.101 0.750
Si1 0.210 0.386 0.254
Si2 0.386 0.210 0.754
Si3 0.614 0.790 0.246
Si4 0.790 0.614 0.746
O1 0.031 0.212 0.151
O2 0.138 0.619 0.370
O3 0.212 0.031 0.651
O4 0.319 0.384 0.002
O5 0.381 0.862 0.130
O6 0.384 0.319 0.502
O7 0.616 0.681 0.498
O8 0.619 0.138 0.870
O9 0.681 0.616 0.998
O10 0.788 0.969 0.349
O11 0.862 0.381 0.630
O12 0.969 0.788 0.849


Diffraction record for Mg6CoSiO8. The powder X-ray diffraction pattern is simulated, not measured: it uses a DFT-relaxed cell (GGA+U, the Materials Project) and λ = 1.5418 Å (Cu Kα).
Lines closer than 0.1° are merged.

Principal peaks in the range 2θ = 15–90°, by intensity:
| Position (°2θ) | I/Imax |
| --- | --- |
| 42.1 | 100 |
| 61.4 | 52 |
| 42.6 | 45 |
| 36.4 | 29 |
| 61.0 | 28 |
| 77.2 | 24 |
| 73.2 | 11 |
| 20.7 | 8 |
| 29.6 | 7 |
| 43.7 | 7 |

Atomic structure:
a b c (Å): 4.294 4.294 8.497
angles (deg): 90.00 90.00 90.00
Atoms (fractional coordinates):
Mg1 0.000 0.000 0.000
Mg2 0.000 0.000 0.500
Mg3 0.000 0.500 0.240
Mg4 0.000 0.500 0.760
Mg5 0.500 0.000 0.240
Mg6 0.500 0.000 0.760
Co1 0.500 0.500 0.000
Si1 0.500 0.500 0.500
O1 0.000 0.000 0.252
O2 0.000 0.000 0.748
O3 0.000 0.500 0.000
O4 0.000 0.500 0.500
O5 0.500 0.000 0.000
O6 0.500 0.000 0.500
O7 0.500 0.500 0.283
O8 0.500 0.500 0.717


Diffraction record for MgCo2Si4O12. The powder X-ray diffraction pattern is simulated, not measured: it uses a DFT-relaxed cell (GGA+U, the Materials Project) and λ = 1.5418 Å (Cu Kα).
Lines closer than 0.1° are merged.

Principal peaks in the range 2θ = 15–90°, by intensity:
| Position (°2θ) | I/Imax |
| --- | --- |
| 31.3 | 100 |
| 29.9 | 91 |
| 29.8 | 90 |
| 36.2 | 64 |
| 20.0 | 48 |
| 37.5 | 41 |
| 20.6 | 41 |
| 25.5 | 37 |
| 42.3 | 34 |
| 42.9 | 24 |

Atomic structure:
a b c (Å): 5.297 6.485 6.506
angles (deg): 83.18 74.68 74.87
Atoms (fractional coordinates):
Mg1 0.000 0.000 0.000
Co1 0.500 0.814 0.184
Co2 0.995 0.617 0.378
Si1 0.005 0.524 0.885
Si2 0.498 0.927 0.659
Si3 0.502 0.342 0.070
Si4 0.996 0.108 0.478
O1 0.027 0.646 0.656
O2 0.113 0.928 0.293
O3 0.188 0.064 0.649
O4 0.293 0.373 0.917
O5 0.400 0.538 0.236
O6 0.415 0.841 0.909
O7 0.586 0.091 0.156
O8 0.606 0.765 0.460
O9 0.702 0.086 0.625
O10 0.811 0.353 0.929
O11 0.886 0.706 0.070
O12 0.982 0.341 0.359